Diffraction record for Co2AsHO5. The powder diffraction line list is theoretical, not measured: it uses DFT lattice parameters and positions (GGA+U) and Cu Kα.
Neutral-atom scattering factors, no anomalous dispersion.

Largest 12 diffraction maxima, in order of rising 2θ, 10 to 90 degrees two-theta:
14.4°, d 6.150, I 61, (1 1 0); 17.9°, d 4.965, I 24, (0 1 1); 18.1°, d 4.888, I 100, (1 0 1); 20.7°, d 4.286, I 40, (1 1 1); 22.5°, d 3.948, I 43, (1 2 0); 29.0°, d 3.075, I 42, (2 2 0); 32.8°, d 2.734, I 33, (2 2 1); 33.3°, d 2.688, I 32, (1 1 2); 35.1°, d 2.558, I 24, (3 0 1); 36.2°, d 2.483, I 47, (0 2 2); 55.8°, d 1.647, I 23, (2 4 2); 62.1°, d 1.495, I 19, (0 0 4)

```
data_Co2AsHO5
_chemical_formula_sum 'Co8 As4 H4 O20'
_cell_length_a 8.4924
_cell_length_b 8.9177
_cell_length_c 5.9776
_cell_angle_alpha 90.00
_cell_angle_beta 90.00
_cell_angle_gamma 90.00
_symmetry_space_group_name_H-M 'P n n m'
_symmetry_Int_Tables_number 58
loop_
_symmetry_equiv_pos_as_xyz
'x,y,z'
'-x,-y,-z'
'-x,-y,z'
'x,y,-z'
'x+1/2,-y+1/2,-z+1/2'
'-x+1/2,y+1/2,z+1/2'
'-x+1/2,y+1/2,-z+1/2'
'x+1/2,-y+1/2,z+1/2'
loop_
_atom_site_label
_atom_site_type_symbol
_atom_site_fract_x
_atom_site_fract_y
_atom_site_fract_z
Co1 Co 0.0000 0.0000 0.2429
Co2 Co 0.1261 0.3530 0.5000
As1 As 0.1816 0.7788 0.5000
H1 H 0.1968 0.0627 0.0000
O1 O 0.0232 0.1484 0.5000
O2 O 0.1022 0.5977 0.5000
O3 O 0.1099 0.1372 0.0000
O4 O 0.2256 0.8742 0.2550
```